Structure and calculated XRD peak list of LiAc2Cr2N6 (DFT lattice parameters and positions (PBE); a wavelength of 1.5418 Å).
Lines closer than 0.1° are merged.

Cell and atoms:
a b c (Å): 6.319 6.342 6.689
angles (deg): 108.32 111.76 105.93
Space group P-1 (No. 2)
Inequivalent atoms, fractional coordinates:
Li1 0.000 0.000 0.000 [1 per cell]
Ac1 0.383 0.281 0.663 [2 per cell]
Cr1 0.066 0.652 0.718 [2 per cell]
N1 0.132 0.924 0.705 [2 per cell]
N2 0.218 0.422 0.292 [2 per cell]
N3 0.299 0.600 0.898 [2 per cell]

Principal peaks in the range 2θ from 10° to 90°, sorted by position:
Position (°2θ), I (rel.)
16.12, 24
16.46, 24
16.84, 30
17.57, 26
23.35, 100
28.08, 19
28.77, 44
30.47, 47
37.45, 16
44.52, 16